# NaUAg2Br8
Simulated powder XRD pattern, λ = 1.5418 Å (Cu Kα). Input: a PBE-relaxed structure.
Kinematic intensities with the Lorentz-polarization factor, no thermal factor.

Atomic structure:
Cell: 9.401 9.401 9.315 Å, 90.00 90.00 90.00°
Space group I-4m2 (No. 119)
Inequivalent atoms, fractional coordinates:
Na 0.000 0.000 0.000 x2
U 0.000 0.500 0.750 x2
Ag 0.000 0.000 0.500 x2
Ag 0.000 0.500 0.250 x2
Br 0.000 0.212 0.688 x8
Br 0.000 0.321 0.022 x8

Peak list (10 most intense, 2θ from 10° to 90°, in order of falling intensity)
| Position (°2θ) | Rel. int. | (hkl) |
| --- | --- | --- |
| 13.4 | 100 | 1 1 0 |
| 35.8 | 95 | 3 1 2 |
| 18.9 | 93 | 2 0 0 |
| 45.3 | 54 | 3 3 2 |
| 30.1 | 41 | 3 0 1 |
| 23.2 | 39 | 2 1 1 |
| 38.3 | 37 | 4 0 0 |
| 23.3 | 29 | 1 1 2 |
| 36.0 | 29 | 2 1 3 |
| 26.9 | 28 | 2 0 2 |